# 1
# NaZn2Ag5
Simulated powder diffractogram, CuKα. Input: the PBE geometry in Alexandria.

Structure:
abc: 3.0500 8.7921 10.9151
angles: 90.00 90.00 90.00
Space group Immm (No. 71)
One atom of each set of equivalent atoms:
Na  0.0000  0.0000  0.0000 [2 per cell]
Zn  0.0000  0.5000  0.2488 [4 per cell]
Ag  0.0000  0.2287  0.3651 [8 per cell]
Ag  0.0000  0.5000  0.0000 [2 per cell]

The 12 most intense peaks (5° ≤ 2θ ≤ 70°), by intensity:
38.84 deg, 2.318 Å, I = 100; 36.80 deg, 2.442 Å, I = 86; 38.52 deg, 2.337 Å, I = 53; 12.93 deg, 6.847 Å, I = 49; 41.06 deg, 2.198 Å, I = 39; 42.79 deg, 2.113 Å, I = 25; 57.56 deg, 1.601 Å, I = 25; 45.80 deg, 1.981 Å, I = 21; 43.87 deg, 2.064 Å, I = 14; 60.73 deg, 1.525 Å, I = 14; 20.20 deg, 4.396 Å, I = 13; 31.04 deg, 2.882 Å, I = 11

=====

# 2
# NaCo2BHIr
Simulated powder diffractogram, CuKα. Input: the PBE geometry in Alexandria.

Structure:
abc: 5.2193 2.6820 8.9502
angles: 90.00 90.00 90.00
Space group Amm2 (No. 38)
One atom of each set of equivalent atoms:
Na  0.0000  0.0000  0.0000 [2 per cell]
Co  0.2571  0.0000  0.7388 [4 per cell]
B  0.5000  0.0000  0.1406 [2 per cell]
H  0.0000  0.0000  0.2479 [2 per cell]
Ir  0.5000  0.0000  0.4513 [2 per cell]

The 12 most intense peaks (5° ≤ 2θ ≤ 70°), by intensity:
16.99 deg, 5.219 Å, I = 100; 39.99 deg, 2.254 Å, I = 78; 39.08 deg, 2.305 Å, I = 69; 26.23 deg, 3.397 Å, I = 57; 49.81 deg, 1.831 Å, I = 44; 45.48 deg, 1.995 Å, I = 41; 48.88 deg, 1.863 Å, I = 39; 40.31 deg, 2.238 Å, I = 32; 34.92 deg, 2.569 Å, I = 32; 44.03 deg, 2.057 Å, I = 20; 19.84 deg, 4.475 Å, I = 20; 64.71 deg, 1.441 Å, I = 17

=====

# 3
# Tm4NiPd
Simulated powder diffractogram, CuKα. Input: the PBE geometry in Alexandria.

Structure:
abc: 6.6798 6.6798 12.8204
angles: 90.00 90.00 90.00
Space group I4/mcm (No. 140)
One atom of each set of equivalent atoms:
Tm  0.1804  0.3196  0.1331 [16 per cell]
Ni  0.0000  0.0000  0.2500 [4 per cell]
Pd  0.0000  0.0000  0.0000 [4 per cell]

The 12 most intense peaks (5° ≤ 2θ ≤ 70°), by intensity:
30.73 deg, 2.909 Å, I = 100; 38.95 deg, 2.313 Å, I = 96; 36.71 deg, 2.448 Å, I = 90; 42.81 deg, 2.112 Å, I = 42; 27.84 deg, 3.205 Å, I = 38; 66.12 deg, 1.413 Å, I = 35; 61.18 deg, 1.515 Å, I = 34; 33.80 deg, 2.652 Å, I = 34; 38.10 deg, 2.362 Å, I = 29; 59.17 deg, 1.561 Å, I = 29; 57.32 deg, 1.607 Å, I = 29; 26.69 deg, 3.340 Å, I = 24

=====

# 4
# ZnSbPH
Simulated powder diffractogram, CuKα. Input: the PBE geometry in Alexandria.

Structure:
abc: 3.7864 4.6671 5.8117
angles: 111.75 108.94 90.27
Space group P1 (No. 1)
One atom of each set of equivalent atoms:
Zn  0.0000  0.0000  0.0000 [1 per cell]
Sb  0.8745  0.3723  0.7449 [1 per cell]
P  0.6317  0.0221  0.2640 [1 per cell]
H  0.6463  0.7340  0.2977 [1 per cell]

The 12 most intense peaks (5° ≤ 2θ ≤ 70°), by intensity:
25.11 deg, 3.546 Å, I = 100; 17.55 deg, 5.054 Å, I = 44; 21.25 deg, 4.182 Å, I = 36; 32.24 deg, 2.776 Å, I = 32; 46.82 deg, 1.940 Å, I = 27; 46.97 deg, 1.934 Å, I = 27; 35.69 deg, 2.516 Å, I = 26; 47.97 deg, 1.896 Å, I = 25; 20.70 deg, 4.291 Å, I = 22; 38.60 deg, 2.332 Å, I = 21; 33.33 deg, 2.688 Å, I = 19; 35.58 deg, 2.523 Å, I = 17

=====

# 5
# Rh2WAu
Simulated powder diffractogram, CuKα. Input: the PBE geometry in Alexandria.

Structure:
abc: 2.8174 3.7927 5.7883
angles: 90.00 90.00 90.00
Space group Pmmm (No. 47)
One atom of each set of equivalent atoms:
Rh  0.0000  0.0000  0.2345 [2 per cell]
W  0.5000  0.5000  0.0000 [1 per cell]
Au  0.5000  0.5000  0.5000 [1 per cell]

The 12 most intense peaks (5° ≤ 2θ ≤ 70°), by intensity:
39.15 deg, 2.301 Å, I = 100; 39.86 deg, 2.262 Å, I = 96; 44.90 deg, 2.019 Å, I = 68; 67.80 deg, 1.382 Å, I = 40; 47.97 deg, 1.896 Å, I = 28; 23.46 deg, 3.793 Å, I = 14; 64.38 deg, 1.447 Å, I = 11; 66.36 deg, 1.409 Å, I = 11; 51.27 deg, 1.782 Å, I = 8; 30.90 deg, 2.894 Å, I = 8; 31.76 deg, 2.817 Å, I = 7; 58.16 deg, 1.586 Å, I = 3

=====

# 6
# Cs3IrBr6
Simulated powder diffractogram, CuKα. Input: the PBE geometry in Alexandria.

Structure:
abc: 13.0503 13.0503 16.8062
angles: 90.00 90.00 120.00
Space group R-3 (No. 148, hexagonal axes)
One atom of each set of equivalent atoms:
Cs  0.0650  0.4644  0.3917 [18 per cell]
Ir  0.0000  0.0000  0.0000 [3 per cell]
Ir  0.0000  0.0000  0.5000 [3 per cell]
Br  0.0505  0.1777  0.4133 [18 per cell]
Br  0.0739  0.8944  0.0894 [18 per cell]

The 12 most intense peaks (5° ≤ 2θ ≤ 70°), by intensity:
28.55 deg, 3.126 Å, I = 100; 13.13 deg, 6.743 Å, I = 73; 23.36 deg, 3.808 Å, I = 64; 35.74 deg, 2.512 Å, I = 62; 13.57 deg, 6.525 Å, I = 52; 18.92 deg, 4.689 Å, I = 44; 30.44 deg, 2.937 Å, I = 42; 20.90 deg, 4.250 Å, I = 40; 21.46 deg, 4.140 Å, I = 39; 29.83 deg, 2.995 Å, I = 34; 40.12 deg, 2.248 Å, I = 30; 36.43 deg, 2.466 Å, I = 27